# 1
Theoretical PXRD pattern of Ce3Mg2Rh4 for Cu Kα, 1.54184 Å, from a DFT-relaxed cell (GGA-PBE, Alexandria).
Intensities are scaled so that the largest is 100.

Crystal structure
```
Ce3Mg2Rh4
1.0
3.9504 0.0000 0.0000
0.0000 5.9958 3.8688
0.0000 -5.9958 3.8688
Ce Mg Rh
3 2 4
Direct
0.0000 0.0000 0.0000
0.0000 0.4543 0.8035
0.0000 0.8035 0.4543
0.5000 0.1605 0.4221
0.5000 0.4221 0.1605
0.0000 0.3809 0.3809
0.5000 0.1038 0.7758
0.5000 0.6481 0.6481
0.5000 0.7758 0.1038
```

Largest 10 diffraction maxima, low angle first, 5 to 70 degrees two-theta:
- 13.6 deg, 6.502 Å, intensity 16
- 25.1 deg, 3.551 Å, intensity 16
- 33.9 deg, 2.641 Å, intensity 100
- 35.6 deg, 2.522 Å, intensity 31
- 35.8 deg, 2.510 Å, intensity 64
- 41.7 deg, 2.167 Å, intensity 16
- 44.6 deg, 2.032 Å, intensity 28
- 45.4 deg, 1.999 Å, intensity 22
- 45.9 deg, 1.975 Å, intensity 24
- 66.6 deg, 1.405 Å, intensity 14

***

# 2
Theoretical PXRD pattern of Nd5Er for Cu Kα, 1.54184 Å, from a DFT-relaxed cell (GGA-PBE, Alexandria).
Intensities are scaled so that the largest is 100.

Crystal structure
```
Nd5Er
1.0
5.1709 0.0000 0.0000
0.0000 10.9397 0.0000
0.0000 0.0000 7.3010
Nd Er
10 2
Direct
0.2500 0.0830 0.1237
0.2500 0.0849 0.6266
0.2500 0.4151 0.6266
0.2500 0.4170 0.1237
0.2500 0.7500 0.6261
0.7500 0.2500 0.3739
0.7500 0.5830 0.8763
0.7500 0.5849 0.3734
0.7500 0.9151 0.3734
0.7500 0.9170 0.8763
0.2500 0.7500 0.1232
0.7500 0.2500 0.8768
```

Largest 6 diffraction maxima, low angle first, 5 to 70 degrees two-theta:
- 30.0 deg, 2.981 Å, intensity 100
- 34.7 deg, 2.582 Å, intensity 51
- 50.0 deg, 1.826 Å, intensity 36
- 59.3 deg, 1.557 Å, intensity 29
- 59.4 deg, 1.556 Å, intensity 14
- 62.3 deg, 1.491 Å, intensity 12

***

# 3
Theoretical PXRD pattern of Ag3SeF for Cu Kα, 1.54184 Å, from a DFT-relaxed cell (GGA-PBE, Alexandria).
Intensities are scaled so that the largest is 100.

Crystal structure
```
Ag3SeF
1.0
6.9681 0.0000 0.0000
0.0000 5.5310 0.0000
-4.5738 0.0000 10.4907
Ag Se F
12 4 4
Direct
0.0618 0.0570 0.2483
0.0618 0.4430 0.7483
0.1364 0.2082 0.9925
0.1364 0.2918 0.4925
0.3960 0.0230 0.8618
0.3960 0.4770 0.3618
0.6040 0.5230 0.6382
0.6040 0.9770 0.1382
0.8636 0.7082 0.5075
0.8636 0.7918 0.0075
0.9382 0.5570 0.2517
0.9382 0.9430 0.7517
0.2116 0.7065 0.9557
0.2116 0.7935 0.4557
0.7884 0.2065 0.5443
0.7884 0.2935 0.0443
0.3758 0.1917 0.2119
0.3758 0.3083 0.7119
0.6242 0.6917 0.2881
0.6242 0.8083 0.7881
```

Largest 10 diffraction maxima, low angle first, 5 to 70 degrees two-theta:
- 13.9 deg, 6.387 Å, intensity 51
- 17.1 deg, 5.199 Å, intensity 34
- 18.1 deg, 4.893 Å, intensity 45
- 30.4 deg, 2.937 Å, intensity 62
- 36.8 deg, 2.445 Å, intensity 100
- 38.3 deg, 2.353 Å, intensity 32
- 38.8 deg, 2.323 Å, intensity 34
- 42.2 deg, 2.144 Å, intensity 60
- 43.2 deg, 2.096 Å, intensity 34
- 45.6 deg, 1.988 Å, intensity 41